Record 1
Theoretical powder diffraction line list
Compound: TiCdO3
Radiation: Cu Kα X-rays
Structure: a DFT-relaxed cell (PBE, the Materials Project)
No peak broadening, texture or thermal motion is included.

Main lines, by angle (2θ from 10° to 90°):
h k l	Position (°2θ)	I_rel
2 0 0	18.9	41
0 1 1	26.3	23
1 1 1	28.0	44
2 1 0	30.0	97
2 0 2	31.7	100
2 1 1	32.6	25
0 1 2	34.4	48
4 0 0	38.2	47
2 1 2	39.5	30
1 2 0	48.2	27
4 1 2	52.4	28
3 2 2	62.4	25

Structural model:
Unit cell a=9.415 b=3.852 c=7.068 alpha=90.00 beta=90.00 gamma=90.00
Space group Pmc2_1 (No. 26)
Symmetry-distinct sites (fractional):
Ti1 0.210 0.035 0.000
Cd1 0.000 0.493 0.740
Cd2 0.500 0.318 0.288
O1 0.000 0.008 0.068
O2 0.174 0.489 0.469
O3 0.275 0.007 0.239
O4 0.500 0.222 0.975


Record 2
Theoretical powder diffraction line list
Compound: TiCdO3
Radiation: Cu Kα X-rays
Structure: a DFT-relaxed cell (PBE, the Materials Project)
No peak broadening, texture or thermal motion is included.

Main lines, by angle (2θ from 10° to 90°):
h k l	Position (°2θ)	I_rel
1 0 0	22.9	13
1 1 0	32.6	100
1 1 1	40.2	24
2 0 0	46.7	36
2 1 0	52.7	7
2 1 1	58.1	36
2 2 0	68.2	20
3 0 0	73.0	4
3 1 0	77.7	15
3 1 1	82.3	7
2 2 2	86.8	7

Structural model:
Unit cell a=3.887 b=3.887 c=3.887 alpha=90.00 beta=90.00 gamma=90.00
Space group Pm-3m (No. 221)
Symmetry-distinct sites (fractional):
Ti1 0.000 0.000 0.000
Cd1 0.500 0.500 0.500
O1 0.000 0.000 0.500


Record 3
Theoretical powder diffraction line list
Compound: TiCdO3
Radiation: Cu Kα X-rays
Structure: a DFT-relaxed cell (PBE, the Materials Project)
No peak broadening, texture or thermal motion is included.

Main lines, by angle (2θ from 10° to 90°):
h k l	Position (°2θ)	I_rel
0 1 0	15.3	55
0 1 1	18.0	22
1 1 0	21.7	69
1 1 1	22.3	100
1 0 -1	24.3	84
0 0 2	26.4	42
1 -1 0	26.8	30
-1 1 1	29.5	23
1 -1 1	30.4	22
0 1 -2	33.5	22
2 0 1	38.8	30
1 -2 0	39.9	25

Structural model:
Unit cell a=4.904 b=6.092 c=7.004 alpha=75.85 beta=80.05 gamma=75.97
Space group P-1 (No. 2)
Symmetry-distinct sites (fractional):
Ti1 0.044 0.184 0.339
Cd1 0.355 0.195 0.808
O1 0.148 0.067 0.600
O2 0.187 0.547 0.701
O3 0.327 0.131 0.139


Record 4
Theoretical powder diffraction line list
Compound: Ti2CdO5
Radiation: Cu Kα X-rays
Structure: a DFT-relaxed cell (PBE, the Materials Project)
No peak broadening, texture or thermal motion is included.

Main lines, by angle (2θ from 10° to 90°):
h k l	Position (°2θ)	I_rel
0 2 0	17.2	63
0 2 2	23.9	41
1 1 0	25.4	100
1 1 1	26.7	59
0 2 3	30.4	88
1 3 0	35.6	42
1 1 3	35.8	75
0 2 4	37.8	29
1 3 2	39.4	33
0 4 3	43.3	33
2 0 0	48.8	35
1 5 2	53.6	42

Structural model:
Unit cell a=3.729 b=10.292 c=10.745 alpha=90.00 beta=90.00 gamma=90.00
Space group Cmcm (No. 63)
Symmetry-distinct sites (fractional):
Ti1 0.000 0.129 0.066
Cd1 0.000 0.190 0.750
O1 0.000 0.044 0.603
O2 0.000 0.185 0.250
O3 0.000 0.315 0.552